Theoretical powder diffractogram
Compound: Cs2KSrBr5
Radiation: λ = 1.5418 Å (Cu Kα)
Structure: the GGA-PBE geometry in Alexandria
Lines closer than 0.1° are merged.

The 10 most intense peaks (10 to 90 degrees two-theta), in order of rising 2θ:
- 2θ 11.80, rel. 45, hkl 0 1 1
- 2θ 21.17, rel. 47, hkl 1 1 2
- 2θ 26.85, rel. 42, hkl 1 2 1
- 2θ 27.54, rel. 27, hkl 0 1 5
- 2θ 29.62, rel. 100, hkl 0 2 4
- 2θ 30.52, rel. 43, hkl 1 2 3
- 2θ 30.60, rel. 42, hkl 2 0 0
- 2θ 41.61, rel. 25, hkl 2 1 5
- 2θ 43.10, rel. 43, hkl 2 2 4
- 2θ 54.24, rel. 26, hkl 2 4 0

Structure:
```
data_Cs2KSrBr5
_space_group_name_H-M_alt 'I m m m'
_space_group_IT_number 71
_space_group_name_Hall '-I 2 2'
_cell_length_a 5.8436
_cell_length_b 8.2910
_cell_length_c 17.5911
_cell_angle_alpha 90.00
_cell_angle_beta 90.00
_cell_angle_gamma 90.00
loop_
_atom_site_label
_atom_site_fract_x
_atom_site_fract_y
_atom_site_fract_z
_atom_site_occupancy
Cs1 0.0000 0.0000 0.2063 1
K1 0.0000 0.5000 0.0000 1
Sr1 0.0000 0.5000 0.5000 1
Br1 0.0000 0.0000 0.0000 1
Br2 0.0000 0.2451 0.3751 1
```